No. 1
Structure and simulated X-ray powder pattern of AcPr5Ga6 (DFT lattice parameters and positions (PBE); copper Kα).
Neutral-atom scattering factors, no anomalous dispersion.

Structural model:
```
AcPr5Ga6
1.0
5.3198 0.0000 0.0000
-0.0076 7.5041 0.0000
-2.6425 -3.7420 7.9861
Ac Pr Ga
1 5 6
direct
0.0000 0.0000 0.0000
0.0000 0.5000 0.0000
0.3289 0.3290 0.6580
0.3394 0.8390 0.6786
0.6606 0.1610 0.3214
0.6711 0.6710 0.3420
0.1697 0.4291 0.3403
0.1706 0.9113 0.3405
0.5000 0.2685 0.0001
0.5000 0.7315 0.9999
0.8294 0.0887 0.6595
0.8303 0.5709 0.6597
```

Top 12 peaks for 2θ from 10° to 80°, sorted by position:
2theta  intensity
23.7  19
33.7  100
33.8  20
41.6  6
48.4  14
48.5  7
54.5  3
54.7  4
60.3  22
60.4  22
70.8  4
70.9  7



No. 2
Structure and simulated X-ray powder pattern of AcPrGaPt (DFT lattice parameters and positions (PBE); copper Kα).
Neutral-atom scattering factors, no anomalous dispersion.

Structural model:
```
AcPrGaPt
1.0
4.5658 0.0000 0.0000
0.0000 4.5179 0.0000
0.0000 0.0000 10.7334
Ac Pr Ga Pt
2 2 2 2
direct
0.0000 0.0000 0.0000
0.0000 0.5000 0.5000
0.5000 0.0000 0.2864
0.5000 0.5000 0.7864
0.5000 0.0000 0.5850
0.5000 0.5000 0.0850
0.0000 0.0000 0.7151
0.0000 0.5000 0.2151
```

Top 12 peaks for 2θ from 10° to 80°, sorted by position:
2theta  intensity
19.4  15
29.0  100
31.9  46
33.4  17
37.6  55
38.9  28
39.5  28
39.9  27
51.6  24
57.0  19
57.4  19
78.0  15



No. 3
Structure and simulated X-ray powder pattern of AcPrGa2Pt2 (DFT lattice parameters and positions (PBE); copper Kα).
Neutral-atom scattering factors, no anomalous dispersion.

Structural model:
```
AcPrGa2Pt2
1.0
4.5397 0.0000 0.0000
-2.2698 3.9315 0.0000
0.0000 0.0000 7.8431
Ac Pr Ga Pt
1 1 2 2
direct
0.0000 0.0000 0.0000
0.0000 0.0000 0.5000
0.3333 0.6667 0.2712
0.6667 0.3333 0.7288
0.3333 0.6667 0.7345
0.6667 0.3333 0.2655
```

Top 12 peaks for 2θ from 10° to 80°, sorted by position:
2theta  intensity
22.6  5
25.3  25
32.2  100
39.7  59
41.5  5
46.3  11
47.7  5
52.0  28
62.6  28
67.4  25
72.1  10
76.9  7



No. 4
Structure and simulated X-ray powder pattern of Ac3Ga3Pt (DFT lattice parameters and positions (PBE); copper Kα).
Neutral-atom scattering factors, no anomalous dispersion.

Structural model:
```
Ac3Ga3Pt
1.0
4.3994 0.0000 0.0000
0.0000 4.6235 0.0000
0.0000 0.0000 19.5938
Ac Ga Pt
6 6 2
direct
0.0000 0.0000 0.0000
0.0000 0.0000 0.3690
0.0000 0.5000 0.6815
0.5000 0.0000 0.1815
0.5000 0.5000 0.5000
0.5000 0.5000 0.8690
0.0000 0.0000 0.5463
0.0000 0.0000 0.8215
0.0000 0.5000 0.2461
0.5000 0.0000 0.7461
0.5000 0.5000 0.0463
0.5000 0.5000 0.3215
0.0000 0.5000 0.1152
0.5000 0.0000 0.6152
```

Top 12 peaks for 2θ from 10° to 80°, sorted by position:
2theta  intensity
24.4  29
29.5  100
29.9  59
33.5  20
38.1  26
39.0  26
39.5  15
41.0  23
46.5  24
51.6  26
55.6  20
57.9  17



No. 5
Structure and simulated X-ray powder pattern of AcGa5Pt2 (DFT lattice parameters and positions (PBE); copper Kα).
Neutral-atom scattering factors, no anomalous dispersion.

Structural model:
```
AcGa5Pt2
1.0
4.2448 0.0000 0.0000
0.0000 7.2772 0.0000
0.0000 0.0000 10.1729
Ac Ga Pt
2 10 4
direct
0.0000 0.0000 0.0000
0.5000 0.5000 0.5000
0.0000 0.1901 0.3531
0.0000 0.1901 0.6469
0.0000 0.5000 0.0000
0.0000 0.8099 0.3531
0.0000 0.8099 0.6469
0.5000 0.0000 0.5000
0.5000 0.3099 0.1469
0.5000 0.3099 0.8531
0.5000 0.6901 0.1469
0.5000 0.6901 0.8531
0.0000 0.5000 0.2389
0.0000 0.5000 0.7611
0.5000 0.0000 0.2611
0.5000 0.0000 0.7389
```

Top 12 peaks for 2θ from 10° to 80°, sorted by position:
2theta  intensity
24.5  36
29.1  24
30.0  100
33.6  62
33.8  36
42.6  38
42.9  19
43.4  54
46.7  44
49.7  22
60.1  21
62.4  37



No. 6
Structure and simulated X-ray powder pattern of AcGa2Pt6 (DFT lattice parameters and positions (PBE); copper Kα).
Neutral-atom scattering factors, no anomalous dispersion.

Structural model:
```
AcGa2Pt6
1.0
0.0000 5.7510 5.7510
5.7510 0.0000 5.7510
5.7510 5.7510 0.0000
Ac Ga Pt
2 4 12
direct
0.1250 0.1250 0.1250
0.8750 0.8750 0.8750
0.0000 0.5000 0.5000
0.5000 0.0000 0.5000
0.5000 0.5000 0.0000
0.5000 0.5000 0.5000
0.1294 0.1294 0.6206
0.1294 0.6206 0.1294
0.1294 0.6206 0.6206
0.3794 0.3794 0.8706
0.3794 0.8706 0.3794
0.3794 0.8706 0.8706
0.6206 0.1294 0.1294
0.6206 0.1294 0.6206
0.6206 0.6206 0.1294
0.8706 0.3794 0.3794
0.8706 0.3794 0.8706
0.8706 0.8706 0.3794
```

Top 12 peaks for 2θ from 10° to 80°, sorted by position:
2theta  intensity
21.9  7
25.7  21
31.1  86
34.0  3
38.3  4
40.8  7
44.6  100
52.1  3
55.3  23
62.0  7
64.8  16
73.7  30



No. 7
Structure and simulated X-ray powder pattern of AcGa6Pt12 (DFT lattice parameters and positions (PBE); copper Kα).
Neutral-atom scattering factors, no anomalous dispersion.

Structural model:
```
AcGa6Pt12
1.0
5.8204 3.3604 2.8296
-5.8204 3.3604 2.8296
0.0000 -6.7208 2.8296
Ac Ga Pt
1 6 12
direct
0.0000 0.0000 0.0000
0.2666 0.2666 0.7007
0.2666 0.7007 0.2666
0.2993 0.7334 0.7334
0.7007 0.2666 0.2666
0.7334 0.2993 0.7334
0.7334 0.7334 0.2993
0.1227 0.5000 0.8773
0.1227 0.8773 0.5000
0.1614 0.4034 0.4034
0.4034 0.1614 0.4034
0.4034 0.4034 0.1614
0.5000 0.1227 0.8773
0.5000 0.8773 0.1227
0.5966 0.5966 0.8386
0.5966 0.8386 0.5966
0.8386 0.5966 0.5966
0.8773 0.1227 0.5000
0.8773 0.5000 0.1227
```

Top 12 peaks for 2θ from 10° to 80°, sorted by position:
2theta  intensity
26.5  18
33.8  100
35.3  63
38.6  18
40.4  20
41.7  48
44.6  17
46.4  17
50.1  48
63.7  16
64.2  19
73.1  17



No. 8
Structure and simulated X-ray powder pattern of Ac2Ga4Pt5 (DFT lattice parameters and positions (PBE); copper Kα).
Neutral-atom scattering factors, no anomalous dispersion.

Structural model:
```
Ac2Ga4Pt5
1.0
0.0000 4.9784 7.8801
2.8709 0.0000 7.8801
2.8709 4.9784 0.0000
Ac Ga Pt
2 4 5
direct
0.1320 0.1320 0.8680
0.8680 0.8680 0.1320
0.2111 0.5335 0.4665
0.4665 0.7889 0.2111
0.5335 0.2111 0.7889
0.7889 0.4665 0.5335
0.0000 0.0000 0.5000
0.2500 0.2500 0.2500
0.5000 0.5000 0.0000
0.5000 0.5000 0.5000
0.7500 0.7500 0.7500
```

Top 12 peaks for 2θ from 10° to 80°, sorted by position:
2theta  intensity
24.6  40
28.9  59
35.6  51
36.1  100
38.8  62
42.6  21
43.0  35
46.1  30
51.6  18
54.0  19
59.9  46
64.9  33



No. 9
Structure and simulated X-ray powder pattern of Ac7GaPt5 (DFT lattice parameters and positions (PBE); copper Kα).
Neutral-atom scattering factors, no anomalous dispersion.

Structural model:
```
Ac7GaPt5
1.0
4.3827 0.0000 0.0000
0.0000 26.2769 0.0000
-2.1891 0.0000 7.3228
Ac Ga Pt
14 2 10
direct
0.0440 0.2500 0.0893
0.1351 0.5360 0.2703
0.1351 0.9640 0.2703
0.3198 0.1723 0.6400
0.3198 0.3277 0.6400
0.4096 0.6056 0.8191
0.4096 0.8944 0.8191
0.5904 0.1056 0.1809
0.5904 0.3944 0.1809
0.6802 0.6723 0.3600
0.6802 0.8277 0.3600
0.8649 0.0360 0.7297
0.8649 0.4640 0.7297
0.9560 0.7500 0.9107
0.2898 0.7500 0.5807
0.7102 0.2500 0.4193
0.0423 0.6450 0.0846
0.0423 0.8550 0.0846
0.2263 0.0714 0.4527
0.2263 0.4286 0.4527
0.5000 0.0000 0.0000
0.5000 0.5000 0.0000
0.7737 0.5714 0.5473
0.7737 0.9286 0.5473
0.9577 0.1450 0.9154
0.9577 0.3550 0.9154
```

Top 12 peaks for 2θ from 10° to 80°, sorted by position:
2theta  intensity
26.7  77
27.6  26
28.2  93
29.2  100
29.8  43
30.6  24
40.5  45
40.8  83
41.2  49
42.5  25
49.8  29
51.7  29



No. 10
Structure and simulated X-ray powder pattern of AcGa4Pt2 (DFT lattice parameters and positions (PBE); copper Kα).
Neutral-atom scattering factors, no anomalous dispersion.

Structural model:
```
AcGa4Pt2
1.0
17.6360 0.0000 0.0000
0.0000 4.3450 0.0000
0.0000 0.0000 7.1910
Ac Ga Pt
4 16 8
direct
0.1185 0.2500 0.0153
0.3815 0.7500 0.5153
0.6185 0.2500 0.4847
0.8815 0.7500 0.9847
0.0424 0.7500 0.7268
0.0900 0.2500 0.4949
0.1879 0.7500 0.3413
0.1991 0.7500 0.7289
0.3009 0.2500 0.2289
0.3121 0.2500 0.8413
0.4100 0.7500 0.9949
0.4576 0.2500 0.2268
0.5424 0.7500 0.7732
0.5900 0.2500 0.0051
0.6879 0.7500 0.1587
0.6991 0.7500 0.7711
0.8009 0.2500 0.2711
0.8121 0.2500 0.6587
0.9100 0.7500 0.5051
0.9576 0.2500 0.2732
0.0378 0.7500 0.3179
0.2311 0.2500 0.5419
0.2689 0.7500 0.0419
0.4622 0.2500 0.8179
0.5378 0.7500 0.1821
0.7311 0.2500 0.9581
0.7689 0.7500 0.4581
0.9622 0.2500 0.6821
```

Top 12 peaks for 2θ from 10° to 80°, sorted by position:
2theta  intensity
28.2  31
28.4  67
33.9  100
35.1  21
36.9  42
37.9  34
41.6  51
46.2  23
48.4  19
50.6  26
51.0  17
57.5  23



No. 11
Structure and simulated X-ray powder pattern of Ac3GaSi2Pt8 (DFT lattice parameters and positions (PBE); copper Kα).
Neutral-atom scattering factors, no anomalous dispersion.

Structural model:
```
Ac3GaSi2Pt8
1.0
5.6546 0.0000 0.0000
-2.8273 4.8971 0.0000
0.0000 0.0000 10.3402
Ac Ga Si Pt
3 1 2 8
direct
0.0000 0.0000 0.0000
0.3333 0.6667 0.5839
0.6667 0.3333 0.4161
0.0000 0.0000 0.5000
0.3333 0.6667 0.1178
0.6667 0.3333 0.8822
0.1645 0.3290 0.2851
0.1645 0.8355 0.2851
0.3290 0.1645 0.7149
0.3333 0.6667 0.8982
0.6667 0.3333 0.1018
0.6710 0.8355 0.2851
0.8355 0.1645 0.7149
0.8355 0.6710 0.7149
```

Top 12 peaks for 2θ from 10° to 80°, sorted by position:
2theta  intensity
31.6  27
31.7  81
36.2  57
36.7  15
37.8  100
39.4  33
40.8  29
56.4  39
61.6  18
66.1  32
66.3  20
75.2  19



No. 12
Structure and simulated X-ray powder pattern of Ac3Zn2GaPt6 (DFT lattice parameters and positions (PBE); copper Kα).
Neutral-atom scattering factors, no anomalous dispersion.

Structural model:
```
Ac3Zn2GaPt6
1.0
5.9232 0.0000 0.0000
-2.9616 5.1296 0.0000
0.0000 0.0000 9.0270
Ac Zn Ga Pt
3 2 1 6
direct
0.0000 0.0000 0.0000
0.3333 0.6667 0.6260
0.6667 0.3333 0.3740
0.3333 0.6667 0.0585
0.6667 0.3333 0.9415
0.0000 0.0000 0.5000
0.1724 0.3448 0.2896
0.1724 0.8276 0.2896
0.3448 0.1724 0.7104
0.6552 0.8276 0.2896
0.8276 0.1724 0.7104
0.8276 0.6552 0.7104
```

Top 12 peaks for 2θ from 10° to 80°, sorted by position:
2theta  intensity
19.7  19
19.9  16
26.3  15
29.7  31
36.3  35
36.4  100
40.5  70
43.8  20
46.5  17
62.7  27
63.2  15
70.9  16



Number 5 is which compound?
AcGa5Pt2